Ho8TmSc2: calculated PXRD pattern (Cu Ka), based on a cell relaxed with PBE.

Cell and atoms:
```
data_Ho8TmSc2
_cell_length_a 8.828
_cell_length_b 15.899
_cell_length_c 5.751
_cell_angle_alpha 90.00
_cell_angle_beta 124.41
_cell_angle_gamma 90.00
_symmetry_space_group_name_H-M 'C 1 2/m 1'
_symmetry_Int_Tables_number 12
_symmetry_space_group_name_Hall '-C 2y'
loop_
_atom_site_label
_atom_site_type_symbol
_atom_site_fract_x
_atom_site_fract_y
_atom_site_fract_z
_atom_site_occupancy
Ho1 Ho 0.000 0.207 0.000 1
Ho2 Ho 0.065 0.500 0.791 1
Ho3 Ho 0.219 0.122 0.681 1
Tm1 Tm 0.000 0.000 0.000 1
Sc1 Sc 0.000 0.311 0.500 1
```

Peak list (6 most intense, 10 to 90 degrees two-theta, by angle)
2theta	I/Imax	hkl
29.3	41	0 4 1
31.0	83	3 1 -1
32.2	88	1 5 -1
32.9	47	1 1 -2
33.4	100	2 4 0
38.8	44	2 0 1